Simulated XRD peak list of TmSi2Ir2Pt for Cu Kα (λ = 1.5418 Å), from DFT lattice parameters and positions (PBE).

Atomic structure:
a b c (Å): 4.502 4.502 5.446
angles (deg): 90.00 90.00 90.00
Space group P4/mmm (No. 123)
Symmetry-distinct sites (fractional):
Tm1 0.000 0.000 0.000 (multiplicity 1)
Si1 0.000 0.500 0.500 (multiplicity 2)
Ir1 0.500 0.500 0.238 (multiplicity 2)
Pt1 0.000 0.000 0.500 (multiplicity 1)

Largest 10 diffraction maxima, low angle first, 2θ from 10° to 90°:
(1 1 0), 2θ 28.0, I 99
(1 0 2), 2θ 38.6, I 100
(2 0 0), 2θ 40.1, I 53
(2 1 2), 2θ 56.9, I 66
(2 2 0), 2θ 57.9, I 18
(3 1 0), 2θ 65.6, I 19
(3 0 2), 2θ 71.8, I 17
(1 1 4), 2θ 76.0, I 12
(2 0 4), 2θ 82.9, I 13
(3 2 2), 2θ 85.6, I 21



Simulated XRD peak list of Sm4IrPt3 for Cu Kα (λ = 1.5418 Å), from DFT lattice parameters and positions (PBE).

Atomic structure:
a b c (Å): 3.879 4.471 10.782
angles (deg): 90.00 90.00 90.00
Space group Pmm2 (No. 25)
Symmetry-distinct sites (fractional):
Sm1 0.000 0.000 0.000 (multiplicity 1)
Sm2 0.000 0.500 0.274 (multiplicity 1)
Sm3 0.500 0.000 0.490 (multiplicity 1)
Sm4 0.500 0.500 0.773 (multiplicity 1)
Ir1 0.500 0.000 0.221 (multiplicity 1)
Pt1 0.000 0.000 0.722 (multiplicity 1)
Pt2 0.000 0.500 0.550 (multiplicity 1)
Pt3 0.500 0.500 0.049 (multiplicity 1)

Largest 10 diffraction maxima, low angle first, 2θ from 10° to 90°:
(1 1 1), 2θ 31.6, I 100
(0 0 4), 2θ 33.2, I 29
(0 1 4), 2θ 39.0, I 28
(1 1 3), 2θ 39.7, I 84
(0 2 0), 2θ 40.3, I 33
(2 0 0), 2θ 46.8, I 22
(0 2 4), 2θ 53.2, I 16
(2 2 0), 2θ 63.5, I 18
(1 3 3), 2θ 72.9, I 14
(1 2 7), 2θ 79.5, I 14



Simulated XRD peak list of Sm5Ir2Pt for Cu Kα (λ = 1.5418 Å), from DFT lattice parameters and positions (PBE).

Atomic structure:
a b c (Å): 7.679 7.679 13.778
angles (deg): 90.00 90.00 90.00
Space group I4/mcm (No. 140)
Symmetry-distinct sites (fractional):
Sm1 0.000 0.000 0.000 (multiplicity 4)
Sm2 0.169 0.331 0.140 (multiplicity 16)
Ir1 0.132 0.368 0.500 (multiplicity 8)
Pt1 0.000 0.000 0.250 (multiplicity 4)

Largest 10 diffraction maxima, low angle first, 2θ from 10° to 90°:
(0 0 2), 2θ 12.9, I 13
(1 1 2), 2θ 20.8, I 12
(2 1 3), 2θ 32.6, I 100
(2 2 0), 2θ 33.0, I 14
(2 0 4), 2θ 35.0, I 34
(3 1 0), 2θ 37.0, I 55
(2 1 5), 2θ 42.0, I 19
(4 1 3), 2θ 53.1, I 12
(3 1 8), 2θ 66.6, I 17
(5 2 3), 2θ 69.0, I 12